The following is a simulated powder XRD pattern of Li3VO4. It was derived from a cell relaxed with GGA+U, using Cu Ka.
Kinematic intensities with the Lorentz-polarization factor, no thermal factor.

Cell and atoms:
Lattice parameters (Å, degrees): 11.0022 6.3947 5.1760 90.00 90.00 90.00
Positions (direct):
Li (0.0778, 0.2500, 0.1918)
Li (0.1664, 0.5045, 0.8117)
Li (0.1664, 0.9955, 0.8117)
Li (0.3336, 0.0045, 0.3117)
Li (0.3336, 0.4955, 0.3117)
Li (0.4222, 0.7500, 0.6918)
Li (0.5778, 0.2500, 0.3082)
Li (0.6664, 0.5045, 0.6883)
Li (0.6664, 0.9955, 0.6883)
Li (0.8336, 0.0045, 0.1883)
Li (0.8336, 0.4955, 0.1883)
Li (0.9222, 0.7500, 0.8082)
V (0.0864, 0.7500, 0.3150)
V (0.4136, 0.2500, 0.8150)
V (0.5864, 0.7500, 0.1850)
V (0.9136, 0.2500, 0.6850)
O (0.0628, 0.2500, 0.7971)
O (0.0866, 0.7500, 0.6535)
O (0.1620, 0.5270, 0.2051)
O (0.1620, 0.9730, 0.2051)
O (0.3380, 0.0270, 0.7051)
O (0.3380, 0.4730, 0.7051)
O (0.4134, 0.2500, 0.1535)
O (0.4372, 0.7500, 0.2971)
O (0.5628, 0.2500, 0.7029)
O (0.5866, 0.7500, 0.8465)
O (0.6620, 0.5270, 0.2949)
O (0.6620, 0.9730, 0.2949)
O (0.8380, 0.0270, 0.7949)
O (0.8380, 0.4730, 0.7949)
O (0.9134, 0.2500, 0.3465)
O (0.9372, 0.7500, 0.2029)

Peak list (8 most intense, 2θ from 15° to 90°, in order of falling intensity)
21.31°, rel. 100; 22.09°, rel. 92; 23.59°, rel. 75; 32.39°, rel. 59; 34.66°, rel. 50; 33.05°, rel. 33; 57.98°, rel. 31; 32.55°, rel. 29